1.
This entry pairs a crystal structure of Na4Al3Si9ClO24 with its calculated powder diffractogram. Radiation: CuKα. Structure: a structure optimized by DFT (PBE).
Kinematic intensities with the Lorentz-polarization factor, no thermal factor.

Peak list (10 most intense, 10° ≤ 2θ ≤ 90°, low angle first)
| 2theta | I/Imax | hkl |
| --- | --- | --- |
| 23.0 | 54 | 0 2 1 |
| 23.1 | 50 | 0 1 -2 |
| 24.8 | 35 | 1 -1 2 |
| 25.4 | 92 | 2 0 1 |
| 25.6 | 100 | 2 1 2 |
| 28.7 | 71 | 1 0 -2 |
| 29.0 | 32 | 1 3 0 |
| 29.1 | 34 | 0 2 2 |
| 29.3 | 31 | 0 2 -2 |
| 46.9 | 31 | 0 4 2 |

Crystal structure
```
data_Na4Al3Si9ClO24
_cell_length_a 7.636
_cell_length_b 9.396
_cell_length_c 9.430
_cell_angle_alpha 80.67
_cell_angle_beta 66.52
_cell_angle_gamma 66.77
_symmetry_space_group_name_H-M 'P 1'
_symmetry_Int_Tables_number 1
_symmetry_space_group_name_Hall 'P 1'
loop_
_atom_site_label
_atom_site_type_symbol
_atom_site_fract_x
_atom_site_fract_y
_atom_site_fract_z
_atom_site_occupancy
Na1 Na 0.000 0.000 0.000 1
Na2 Na 0.096 0.249 0.585 1
Na3 Na 0.357 0.577 0.725 1
Na4 Na 0.461 0.845 0.346 1
Al1 Al 0.091 0.334 0.914 1
Al2 Al 0.506 0.169 0.242 1
Al3 Al 0.778 0.487 0.400 1
Si1 Si 0.101 0.159 0.239 1
Si2 Si 0.349 0.494 0.407 1
Si3 Si 0.354 0.656 0.082 1
Si4 Si 0.556 0.161 0.737 1
Si5 Si 0.651 0.835 0.910 1
Si6 Si 0.677 0.336 0.916 1
Si7 Si 0.808 0.986 0.415 1
Si8 Si 0.887 0.660 0.589 1
Si9 Si 0.951 0.659 0.074 1
Cl1 Cl 0.226 0.911 0.670 1
O1 O 0.021 0.012 0.303 1
O2 O 0.075 0.517 0.953 1
O3 O 0.084 0.204 0.070 1
O4 O 0.122 0.725 0.076 1
O5 O 0.133 0.565 0.556 1
O6 O 0.320 0.258 0.756 1
O7 O 0.334 0.092 0.235 1
O8 O 0.345 0.613 0.257 1
O9 O 0.369 0.326 0.369 1
O10 O 0.447 0.794 0.022 1
O11 O 0.492 0.509 0.964 1
O12 O 0.523 0.499 0.460 1
O13 O 0.578 0.013 0.857 1
O14 O 0.647 0.277 0.775 1
O15 O 0.658 0.217 0.061 1
O16 O 0.666 0.013 0.316 1
O17 O 0.693 0.103 0.561 1
O18 O 0.779 0.716 0.767 1
O19 O 0.786 0.552 0.561 1
O20 O 0.797 0.811 0.009 1
O21 O 0.811 0.618 0.243 1
O22 O 0.869 0.808 0.473 1
O23 O 0.902 0.345 0.847 1
O24 O 0.964 0.302 0.361 1
```



2.
This entry pairs a crystal structure of Rb2NaAlCl6 with its calculated powder diffractogram. Radiation: CuKα. Structure: a structure optimized by DFT (PBE).
Kinematic intensities with the Lorentz-polarization factor, no thermal factor.

Peak list (10 most intense, 10° ≤ 2θ ≤ 90°, low angle first)
| 2theta | I/Imax | hkl |
| --- | --- | --- |
| 24.5 | 56 | 2 2 0 |
| 30.1 | 100 | 2 2 2 |
| 34.9 | 83 | 4 0 0 |
| 43.1 | 23 | 4 2 2 |
| 50.2 | 52 | 4 4 0 |
| 56.6 | 14 | 6 2 0 |
| 59.7 | 32 | 6 2 2 |
| 62.6 | 16 | 4 4 4 |
| 68.3 | 15 | 6 4 2 |
| 84.3 | 20 | 8 4 0 |

Crystal structure
```
data_Rb2NaAlCl6
_cell_length_a 10.276
_cell_length_b 10.276
_cell_length_c 10.276
_cell_angle_alpha 90.00
_cell_angle_beta 90.00
_cell_angle_gamma 90.00
_symmetry_space_group_name_H-M 'F m -3 m'
_symmetry_Int_Tables_number 225
_symmetry_space_group_name_Hall '-F 4 2 3'
loop_
_atom_site_label
_atom_site_type_symbol
_atom_site_fract_x
_atom_site_fract_y
_atom_site_fract_z
_atom_site_occupancy
Rb1 Rb 0.250 0.250 0.250 1
Na1 Na 0.000 0.000 0.000 1
Al1 Al 0.000 0.000 0.500 1
Cl1 Cl 0.000 0.000 0.271 1
```